The following is a theoretical powder diffractogram of Ba3Re2O8. It was derived from a cell relaxed with PBE, using λ = 1.5418 Å (Cu Kα).
Neutral-atom scattering factors, no anomalous dispersion.

Crystal structure
```
Ba3Re2O8
1.0
3.147 1.817 6.725
-3.147 1.817 6.725
0.000 -3.634 6.725
Ba Re O
3 2 8
Direct
0.000 0.000 0.000
0.212 0.212 0.212
0.788 0.788 0.788
0.433 0.433 0.433
0.567 0.567 0.567
0.222 0.733 0.733
0.267 0.267 0.778
0.267 0.778 0.267
0.338 0.338 0.338
0.662 0.662 0.662
0.733 0.222 0.733
0.733 0.733 0.222
0.778 0.267 0.267
```

Peak list (12 most intense, 15° ≤ 2θ ≤ 90°, low angle first)
two_theta, I/Imax
16.8, 15
18.5, 12
27.5, 52
28.4, 100
39.9, 26
40.2, 13
49.7, 21
50.0, 30
50.2, 21
58.7, 17
66.2, 13
73.5, 12